Entry 1:
This entry pairs a crystal structure of CdInSbI with its theoretical powder XRD pattern. Radiation: Cu Kα. Structure: a GGA-PBE-relaxed structure.
Peak positions follow from Bragg's law for the DFT cell and can differ from measured ones.

Atomic structure:
```
data_CdInSbI
_cell_length_a 8.107
_cell_length_b 4.676
_cell_length_c 8.779
_cell_angle_alpha 90.00
_cell_angle_beta 107.74
_cell_angle_gamma 90.00
_symmetry_space_group_name_H-M 'C 1 m 1'
_symmetry_Int_Tables_number 8
loop_
_symmetry_equiv_pos_as_xyz
'x,y,z'
'x,-y,z'
'x+1/2,y+1/2,z'
'x+1/2,-y+1/2,z'
loop_
_atom_site_label
_atom_site_type_symbol
_atom_site_fract_x
_atom_site_fract_y
_atom_site_fract_z
Cd1 Cd 0.000 0.000 0.000
In1 In 0.487 0.000 0.456
Sb1 Sb 0.114 0.000 0.335
I1 I 0.276 0.000 0.825
```

Main lines, in order of rising 2θ (10 to 90 degrees two-theta):
| hkl | 2θ (°) | I (rel.) |
| --- | --- | --- |
| 0 0 2 | 21.25 | 54.0 |
| 2 0 -1 | 22.22 | 92.5 |
| 1 1 -1 | 23.07 | 34.3 |
| 2 0 -2 | 26.19 | 60.8 |
| 1 1 -2 | 28.31 | 46.0 |
| 1 1 -3 | 36.26 | 39.0 |
| 0 2 0 | 38.48 | 100.0 |
| 2 0 -4 | 42.38 | 31.4 |



Entry 2:
This entry pairs a crystal structure of NaMg8In4 with its theoretical powder XRD pattern. Radiation: Cu Kα. Structure: a GGA-PBE-relaxed structure.
Peak positions follow from Bragg's law for the DFT cell and can differ from measured ones.

Atomic structure:
```
data_NaMg8In4
_cell_length_a 4.386
_cell_length_b 4.438
_cell_length_c 17.264
_cell_angle_alpha 90.00
_cell_angle_beta 90.00
_cell_angle_gamma 90.00
_symmetry_space_group_name_H-M 'P m m 2'
_symmetry_Int_Tables_number 25
loop_
_symmetry_equiv_pos_as_xyz
'x,y,z'
'-x,-y,z'
'-x,y,z'
'x,-y,z'
loop_
_atom_site_label
_atom_site_type_symbol
_atom_site_fract_x
_atom_site_fract_y
_atom_site_fract_z
Na1 Na 0.000 0.000 0.000
Mg1 Mg 0.000 0.000 0.560
Mg2 Mg 0.000 0.000 0.818
Mg3 Mg 0.000 0.500 0.154
Mg4 Mg 0.000 0.500 0.695
Mg5 Mg 0.500 0.000 0.156
Mg6 Mg 0.500 0.000 0.422
Mg7 Mg 0.500 0.500 0.290
Mg8 Mg 0.500 0.500 0.558
In1 In 0.000 0.000 0.287
In2 In 0.000 0.500 0.430
In3 In 0.500 0.000 0.690
In4 In 0.500 0.500 0.845
```

Main lines, in order of rising 2θ (10 to 90 degrees two-theta):
| hkl | 2θ (°) | I (rel.) |
| --- | --- | --- |
| 0 0 2 | 10.25 | 54.1 |
| 1 0 1 | 20.90 | 48.4 |
| 0 1 2 | 22.53 | 25.9 |
| 0 1 3 | 25.34 | 29.8 |
| 1 1 3 | 32.65 | 55.5 |
| 1 1 4 | 35.51 | 100.0 |
| 0 0 7 | 36.43 | 23.5 |
| 0 2 0 | 40.66 | 23.5 |